No. 1
This entry pairs a crystal structure of PrDyErTm2 with its simulated XRD peak list. Radiation: Cu Kα, 1.54184 Å. Structure: a DFT-relaxed cell (GGA-PBE, Alexandria).
Intensities are scaled so that the largest is 100.

Crystal structure
Unit cell a=8.3474 b=11.4306 c=7.1771 alpha=90.00 beta=90.00 gamma=90.00
Space group Cmcm (No. 63)
Unique sites:
Pr 0.0000 0.2289 0.2500
Dy 0.0000 0.4989 0.7500
Er 0.0000 0.2195 0.7500
Tm 0.1888 0.0000 0.0000

Most intense lines, 2θ from 10° to 90°, by angle:
d [Å], Rel. int., h k l
3.371, 48, 2 2 0
3.039, 58, 0 2 2
2.858, 62, 0 4 0
2.721, 100, 2 0 2
2.493, 58, 1 3 2
2.247, 44, 3 3 0
1.971, 65, 2 4 2
1.407, 35, 3 7 0


No. 2
This entry pairs a crystal structure of Pr2Dy4ErTm2 with its simulated XRD peak list. Radiation: Cu Kα, 1.54184 Å. Structure: a DFT-relaxed cell (GGA-PBE, Alexandria).
Intensities are scaled so that the largest is 100.

Crystal structure
Unit cell a=6.1677 b=6.1720 c=7.9644 alpha=82.58 beta=75.19 gamma=80.57
Space group P-1 (No. 2)
Unique sites:
Pr 0.1675 0.3310 0.3323
Dy 0.0560 0.1101 0.7796
Dy 0.2776 0.5535 0.8888
Er 0.5000 0.0000 0.0000
Tm 0.3917 0.7767 0.4441

Most intense lines, 2θ from 10° to 90°, by angle:
d [Å], Rel. int., h k l
2.909, 100, 2 1 1
2.521, 34, 2 -1 0
2.518, 17, 1 1 3
1.784, 12, 1 -3 1
1.781, 24, 3 0 3
1.522, 7, -2 3 1
1.519, 29, 4 0 1
1.156, 7, 5 2 0


No. 3
This entry pairs a crystal structure of PrDy2Er4Tm with its simulated XRD peak list. Radiation: Cu Kα, 1.54184 Å. Structure: a DFT-relaxed cell (GGA-PBE, Alexandria).
Intensities are scaled so that the largest is 100.

Crystal structure
Unit cell a=13.5184 b=13.2189 c=6.7579 alpha=90.00 beta=119.99 gamma=90.00
Space group C2/c (No. 15)
Unique sites:
Pr 0.2500 0.2500 0.0000
Dy 0.0000 0.0000 0.0000
Dy 0.2500 0.2500 0.5000
Er 0.9997 0.2519 0.0011
Er 0.2483 0.4990 0.4995
Tm 0.0000 0.5000 0.0000

Most intense lines, 2θ from 10° to 90°, by angle:
d [Å], Rel. int., h k l
3.305, 46, 0 4 0
2.927, 100, 4 0 0
2.191, 89, 4 4 0
1.690, 20, 4 0 2
1.504, 27, 4 4 2
1.463, 12, 8 0 0
1.439, 23, 4 8 0
1.338, 18, 8 4 0


No. 4
This entry pairs a crystal structure of PrDyEr2Tm5 with its simulated XRD peak list. Radiation: Cu Kα, 1.54184 Å. Structure: a DFT-relaxed cell (GGA-PBE, Alexandria).
Intensities are scaled so that the largest is 100.

Crystal structure
Unit cell a=5.5539 b=19.6484 c=10.4650 alpha=90.00 beta=90.00 gamma=90.00
Space group Cmc2_1 (No. 36)
Unique sites:
Pr 0.0000 0.0832 0.0000
Dy 0.0000 0.2998 0.5622
Er 0.0000 0.3872 0.8686
Er 0.0000 0.3888 0.2837
Tm 0.0000 0.0218 0.2852
Tm 0.0000 0.1123 0.5719
Tm 0.0000 0.2014 0.2606
Tm 0.0000 0.2192 0.8621
Tm 0.0000 0.4823 0.5751

Most intense lines, 2θ from 10° to 90°, by angle:
d [Å], Rel. int., h k l
3.125, 20, 0 6 1
2.921, 41, 1 1 3
2.777, 43, 2 0 0
2.735, 100, 1 5 2
2.076, 13, 2 6 1
1.595, 21, 3 5 2
1.529, 15, 1 11 3
1.489, 14, 2 6 5


No. 5
This entry pairs a crystal structure of PrDy2Er6Tm with its simulated XRD peak list. Radiation: Cu Kα, 1.54184 Å. Structure: a DFT-relaxed cell (GGA-PBE, Alexandria).
Intensities are scaled so that the largest is 100.

Crystal structure
Unit cell a=9.0238 b=14.9466 c=9.4529 alpha=90.00 beta=96.76 gamma=90.00
Space group C2/c (No. 15)
Unique sites:
Pr 0.0000 0.0252 0.2500
Dy 0.2474 0.4467 0.4530
Er 0.0626 0.1882 0.9422
Er 0.0998 0.3910 0.1174
Er 0.2085 0.2257 0.3165
Tm 0.0000 0.4099 0.7500

Most intense lines, 2θ from 10° to 90°, by angle:
d [Å], Rel. int., h k l
3.105, 35, 1 3 2
2.890, 99, 3 1 -1
2.836, 100, 2 2 2
2.804, 34, 2 4 -1
2.743, 17, 1 5 -1
2.613, 45, 1 3 -3
2.367, 18, 3 1 2
1.534, 18, 2 0 -6


No. 6
This entry pairs a crystal structure of PrDy6Y3Er2 with its simulated XRD peak list. Radiation: Cu Kα, 1.54184 Å. Structure: a DFT-relaxed cell (GGA-PBE, Alexandria).
Intensities are scaled so that the largest is 100.

Crystal structure
Unit cell a=6.1626 b=10.6635 c=11.8009 alpha=90.00 beta=99.96 gamma=90.00
Space group C2/m (No. 12)
Unique sites:
Pr 0.0000 0.0000 0.0000
Dy 0.2486 0.3329 0.7498
Dy 0.2502 0.0000 0.7500
Y 0.0000 0.1671 0.5000
Y 0.0000 0.5000 0.5000
Er 0.0000 0.3333 0.0000

Most intense lines, 2θ from 10° to 90°, by angle:
d [Å], Rel. int., h k l
2.904, 100, 1 3 1
2.515, 51, 2 0 2
1.779, 36, 1 3 5
1.518, 11, 3 3 3
1.516, 32, 4 0 0
1.452, 12, 2 6 2
1.154, 15, 4 6 0
1.125, 11, 5 3 1


No. 7
This entry pairs a crystal structure of PrDyYEr3 with its simulated XRD peak list. Radiation: Cu Kα, 1.54184 Å. Structure: a DFT-relaxed cell (GGA-PBE, Alexandria).
Intensities are scaled so that the largest is 100.

Crystal structure
Unit cell a=9.5312 b=3.5921 c=11.9292 alpha=90.00 beta=110.27 gamma=90.00
Space group P2_1/m (No. 11)
Unique sites:
Pr 0.1293 0.2500 0.1281
Dy 0.3765 0.7500 0.3782
Y 0.1830 0.2500 0.8442
Er 0.0688 0.2500 0.4060
Er 0.3194 0.7500 0.6522
Er 0.4350 0.7500 0.0979

Most intense lines, 2θ from 10° to 90°, by angle:
d [Å], Rel. int., h k l
3.086, 39, 1 0 3
2.861, 51, 3 0 -3
2.799, 100, 2 1 0
2.661, 92, 1 1 -3
1.795, 39, 0 2 0
1.671, 20, 5 1 -3
1.583, 20, 4 1 -6
1.520, 45, 3 2 -3


No. 8
This entry pairs a crystal structure of Pr2Dy2YEr with its simulated XRD peak list. Radiation: Cu Kα, 1.54184 Å. Structure: a DFT-relaxed cell (GGA-PBE, Alexandria).
Intensities are scaled so that the largest is 100.

Crystal structure
Unit cell a=7.0661 b=5.6728 c=9.8517 alpha=90.00 beta=90.00 gamma=90.00
Space group Pmma (No. 51)
Unique sites:
Pr 0.0000 0.0000 0.0000
Pr 0.2500 0.5000 0.1758
Dy 0.2500 0.0000 0.3333
Dy 0.2500 0.5000 0.8357
Y 0.0000 0.5000 0.5000
Er 0.2500 0.0000 0.6601

Most intense lines, 2θ from 10° to 90°, by angle:
d [Å], Rel. int., h k l
2.870, 83, 2 1 1
2.840, 100, 0 2 0
2.214, 21, 2 2 0
2.019, 30, 2 0 4
1.646, 21, 2 2 4
1.643, 17, 0 0 6
1.639, 13, 0 3 3
1.500, 29, 4 2 0


No. 9
This entry pairs a crystal structure of Dy2Er2Pt3 with its simulated XRD peak list. Radiation: Cu Kα, 1.54184 Å. Structure: a DFT-relaxed cell (GGA-PBE, Alexandria).
Intensities are scaled so that the largest is 100.

Crystal structure
Unit cell a=8.6921 b=8.6921 c=8.6921 alpha=90.00 beta=90.00 gamma=90.00
Space group I2_13 (No. 199)
Unique sites:
Dy 0.1863 0.1863 0.1863
Er 0.0634 0.4366 0.5634
Pt 0.0000 0.2500 0.8727

Most intense lines, 2θ from 10° to 90°, by angle:
d [Å], Rel. int., h k l
2.749, 100, 3 0 1
2.323, 55, 3 1 2
1.944, 15, 4 2 0
1.853, 12, 3 3 2
1.705, 24, 4 3 1
1.410, 26, 6 1 1
1.341, 12, 5 4 1
1.183, 20, 7 2 1


No. 10
This entry pairs a crystal structure of DyErPt6 with its simulated XRD peak list. Radiation: Cu Kα, 1.54184 Å. Structure: a DFT-relaxed cell (GGA-PBE, Alexandria).
Intensities are scaled so that the largest is 100.

Crystal structure
Unit cell a=4.1091 b=4.1091 c=8.2194 alpha=90.00 beta=90.00 gamma=90.00
Space group P4/mmm (No. 123)
Unique sites:
Dy 0.0000 0.0000 0.0000
Er 0.0000 0.0000 0.5000
Pt 0.0000 0.5000 0.2515
Pt 0.5000 0.5000 0.0000
Pt 0.5000 0.5000 0.5000

Most intense lines, 2θ from 10° to 90°, by angle:
d [Å], Rel. int., h k l
2.373, 100, 1 1 2
2.055, 49, 2 0 0
1.453, 33, 2 2 0
1.239, 39, 3 1 2
1.186, 11, 2 2 4


No. 11
This entry pairs a crystal structure of DyEr2Pt with its simulated XRD peak list. Radiation: Cu Kα, 1.54184 Å. Structure: a DFT-relaxed cell (GGA-PBE, Alexandria).
Intensities are scaled so that the largest is 100.

Crystal structure
Unit cell a=3.8851 b=3.8851 c=26.8639 alpha=90.00 beta=90.00 gamma=120.00
Space group R3m (No. 160, hexagonal axes)
Unique sites:
Dy 0.0000 0.0000 0.0000
Er 0.0000 0.0000 0.2297
Er 0.0000 0.0000 0.4410
Pt 0.0000 0.0000 0.8359

Most intense lines, 2θ from 10° to 90°, by angle:
d [Å], Rel. int., h k l
3.264, 23, 0 1 2
2.852, 100, 0 1 5
2.530, 22, 1 0 7
2.377, 20, 0 1 8
2.099, 21, 1 0 10
1.943, 43, 1 1 0
1.761, 20, 1 0 13
1.605, 18, 2 0 5


No. 12
This entry pairs a crystal structure of Dy2Er3Pu with its simulated XRD peak list. Radiation: Cu Kα, 1.54184 Å. Structure: a DFT-relaxed cell (GGA-PBE, Alexandria).
Intensities are scaled so that the largest is 100.

Crystal structure
Unit cell a=5.7805 b=13.4812 c=9.3844 alpha=90.00 beta=90.00 gamma=90.00
Space group Imma (No. 74)
Unique sites:
Dy 0.0000 0.1183 0.0283
Er 0.0000 0.0209 0.6673
Er 0.0000 0.2500 0.3653
Pu 0.2500 0.2500 0.7500

Most intense lines, 2θ from 10° to 90°, by angle:
d [Å], Rel. int., h k l
3.047, 39, 0 1 3
2.830, 43, 1 3 2
2.781, 100, 1 4 1
2.751, 85, 1 0 3
2.737, 73, 0 4 2
2.706, 38, 2 1 1
2.353, 36, 2 3 1
1.602, 37, 2 4 4


No. 13
This entry pairs a crystal structure of Dy3Er8Pu2 with its simulated XRD peak list. Radiation: Cu Kα, 1.54184 Å. Structure: a DFT-relaxed cell (GGA-PBE, Alexandria).
Intensities are scaled so that the largest is 100.

Crystal structure
Unit cell a=7.3413 b=20.0344 c=5.6010 alpha=90.00 beta=90.00 gamma=90.00
Space group Cmmm (No. 65)
Unique sites:
Dy 0.0000 0.0000 0.0000
Dy 0.2247 0.5000 0.5000
Er 0.0000 0.1410 0.5000
Er 0.0000 0.3235 0.5000
Er 0.2186 0.3872 0.0000
Pu 0.0000 0.2424 0.0000

Most intense lines, 2θ from 10° to 90°, by angle:
d [Å], Rel. int., h k l
3.447, 27, 2 2 0
2.979, 24, 1 5 1
2.868, 35, 0 6 1
2.801, 43, 0 0 2
2.617, 100, 2 4 1
2.173, 15, 2 2 2
1.835, 15, 4 0 0
1.579, 23, 2 4 3